Diffraction record for Na8NiO6. The X-ray diffraction stick pattern is simulated, not measured: it uses DFT lattice parameters and positions (GGA+U) and copper Kα.
Intensities are scaled so that the largest is 100.

```
data_Na8NiO6
_chemical_formula_sum 'Na16 Ni2 O12'
_cell_length_a 6.3213
_cell_length_b 6.3213
_cell_length_c 12.8485
_cell_angle_alpha 90.00
_cell_angle_beta 90.00
_cell_angle_gamma 120.00
_symmetry_space_group_name_H-M 'P 63 c m'
_symmetry_Int_Tables_number 185
_symmetry_space_group_name_Hall 'P 6c -2'
loop_
_atom_site_label
_atom_site_type_symbol
_atom_site_fract_x
_atom_site_fract_y
_atom_site_fract_z
Na1 Na 0.0000 0.2900 0.0000
Na2 Na 0.0000 0.3815 0.3479
Na3 Na 0.3333 0.6667 0.1434
Ni1 Ni 0.0000 0.0000 0.2233
O1 O 0.0000 0.0000 0.3761
O2 O 0.0000 0.2802 0.1786
O3 O 0.3333 0.6667 0.4482
```

Top 10 peaks for 2θ = 5–70°, sorted by position:
hkl 1 0 0, 2θ 16.19, rel. 61.6
hkl 1 0 2, 2θ 21.32, rel. 88.1
hkl 1 1 1, 2θ 29.10, rel. 94.4
hkl 1 1 2, 2θ 31.55, rel. 43.0
hkl 1 0 4, 2θ 32.31, rel. 47.6
hkl 1 1 3, 2θ 35.29, rel. 37.3
hkl 2 0 2, 2θ 35.65, rel. 60.6
hkl 1 1 4, 2θ 40.02, rel. 39.3
hkl 1 1 5, 2θ 45.49, rel. 73.5
hkl 3 0 0, 2θ 49.98, rel. 100.0